Computed powder diffractogram of Mo2Se3S for Cu Kα (λ = 1.5418 Å), from a GGA-PBE-relaxed structure.

Atomic structure:
Cell: 3.2898 3.2898 37.2956 Å, 90.00 90.00 120.00°
Sites, in units of the cell vectors:
Mo  0.0000  0.0000  0.0000
Mo  0.0000  0.0000  0.3757
Mo  0.3333  0.6667  0.1879
Mo  0.3333  0.6667  0.5636
Se  0.0000  0.0000  0.1427
Se  0.0000  0.0000  0.2331
Se  0.0000  0.0000  0.5184
Se  0.0000  0.0000  0.6088
Se  0.3333  0.6667  0.3306
Se  0.3333  0.6667  0.4209
S  0.3333  0.6667  0.0411
S  0.3333  0.6667  0.9589

Peak list (8 most intense, 2θ from 5° to 70°, by angle)
2θ (°)  Rel. int.  h k l
7.1  24.3  0 0 3
11.9  100.0  0 0 5
14.2  14.6  0 0 6
31.4  43.2  1 0 0
37.0  76.8  1 0 8
44.8  52.3  0 1 13
46.7  18.2  1 0 14
55.9  31.0  1 1 0